Record 1
Structure and theoretical powder diffraction line list of La2AuO4 (a DFT-relaxed cell (GGA-PBE, the Materials Project); Cu Kα, 1.54184 Å).

Atomic structure:
Cell: 6.8870 6.8870 6.8870 Å, 144.45 144.45 51.15°
Sites, in units of the cell vectors:
La1 0.1532 0.1532 0.0000
La2 0.8468 0.8468 0.0000
Au1 0.5000 0.5000 0.0000
O1 0.0000 0.5000 0.5000
O2 0.2500 0.7500 0.5000
O3 0.5000 0.0000 0.5000
O4 0.7500 0.2500 0.5000

Largest 12 diffraction maxima, low angle first, 10° ≤ 2θ ≤ 80°:
2θ = 14.3°, I 7; 2θ = 30.1°, I 38; 2θ = 30.3°, I 100; 2θ = 43.0°, I 26; 2θ = 43.7°, I 8; 2θ = 53.5°, I 41; 2θ = 54.0°, I 18; 2θ = 62.5°, I 8; 2θ = 63.0°, I 11; 2θ = 70.9°, I 7; 2θ = 71.0°, I 9; 2θ = 72.0°, I 6

---

Record 2
Structure and theoretical powder diffraction line list of Cr3Os (a DFT-relaxed cell (GGA-PBE, the Materials Project); Cu Kα, 1.54184 Å).

Atomic structure:
Cell: 2.5833 2.5833 8.1324 Å, 90.00 90.00 112.30°
Sites, in units of the cell vectors:
Cr1 0.0000 0.0000 0.0000
Cr2 0.5000 0.5000 0.2361
Cr3 0.5000 0.5000 0.7639
Os1 0.0000 0.0000 0.5000

Largest 12 diffraction maxima, low angle first, 10° ≤ 2θ ≤ 80°:
2θ = 10.9°, I 87; 2θ = 21.9°, I 23; 2θ = 33.0°, I 12; 2θ = 37.6°, I 12; 2θ = 39.3°, I 24; 2θ = 42.1°, I 29; 2θ = 43.9°, I 100; 2θ = 44.6°, I 23; 2θ = 59.7°, I 7; 2θ = 63.0°, I 16; 2θ = 64.8°, I 8; 2θ = 78.3°, I 17

---

Record 3
Structure and theoretical powder diffraction line list of LiPrS2O8 (a DFT-relaxed cell (GGA-PBE, the Materials Project); Cu Kα, 1.54184 Å).

Atomic structure:
Cell: 13.8754 6.7855 7.1060 Å, 90.00 104.82 90.00°
Sites, in units of the cell vectors:
Li1 0.0541 0.2462 0.0435
Li2 0.0541 0.2538 0.5435
Li3 0.9459 0.7462 0.4565
Li4 0.9459 0.7538 0.9565
Pr1 0.3160 0.6111 0.1544
Pr2 0.3160 0.8889 0.6544
Pr3 0.6840 0.1111 0.3456
Pr4 0.6840 0.3889 0.8456
S1 0.1174 0.5960 0.3165
S2 0.1174 0.9040 0.8165
S3 0.3952 0.0718 0.1934
S4 0.3952 0.4282 0.6934
S5 0.6048 0.5718 0.3066
S6 0.6048 0.9282 0.8066
S7 0.8826 0.0960 0.1835
S8 0.8826 0.4040 0.6835
O1 0.0180 0.6861 0.2377
O2 0.0180 0.8139 0.7377
O3 0.1213 0.0121 0.9960
O4 0.1213 0.4879 0.4960
O5 0.1448 0.0318 0.6640
O6 0.1448 0.4682 0.1640
O7 0.1973 0.7459 0.8552
O8 0.1973 0.7541 0.3552
O9 0.3377 0.2436 0.6580
O10 0.3377 0.2564 0.1580
O11 0.3612 0.5548 0.8385
O12 0.3612 0.9452 0.3385
O13 0.3724 0.5533 0.5133
O14 0.3724 0.9467 0.0133
O15 0.4979 0.6120 0.2384
O16 0.4979 0.8880 0.7384
O17 0.5021 0.1120 0.2616
O18 0.5021 0.3880 0.7616
O19 0.6276 0.0533 0.9867
O20 0.6276 0.4467 0.4867
O21 0.6388 0.0548 0.6615
O22 0.6388 0.4452 0.1615
O23 0.6623 0.7436 0.8420
O24 0.6623 0.7564 0.3420
O25 0.8027 0.2459 0.6448
O26 0.8027 0.2541 0.1448
O27 0.8552 0.5318 0.8360
O28 0.8552 0.9682 0.3360
O29 0.8787 0.5121 0.5040
O30 0.8787 0.9879 0.0040
O31 0.9820 0.1861 0.2623
O32 0.9820 0.3139 0.7623

Largest 12 diffraction maxima, low angle first, 10° ≤ 2θ ≤ 80°:
2θ = 13.2°, I 36; 2θ = 14.6°, I 100; 2θ = 19.9°, I 48; 2θ = 20.6°, I 64; 2θ = 25.1°, I 35; 2θ = 25.9°, I 49; 2θ = 29.4°, I 95; 2θ = 29.6°, I 55; 2θ = 32.2°, I 33; 2θ = 33.7°, I 40; 2θ = 46.9°, I 37; 2θ = 47.8°, I 25